For Ba6CdAg2Sn4S16, a DFT-relaxed cell (PBE, the Materials Project) gives the theoretical powder diffractogram in this record (copper Kα).
Neutral-atom scattering factors, no anomalous dispersion.

```
data_Ba6CdAg2Sn4S16
_cell_length_a 14.9677
_cell_length_b 14.9677
_cell_length_c 14.9245
_cell_angle_alpha 90.00
_cell_angle_beta 90.00
_cell_angle_gamma 90.00
_symmetry_space_group_name_H-M 'I -4 2 d'
_symmetry_Int_Tables_number 122
_symmetry_space_group_name_Hall 'I -4 2bw'
loop_
_atom_site_label
_atom_site_type_symbol
_atom_site_fract_x
_atom_site_fract_y
_atom_site_fract_z
_atom_site_occupancy
Ba1 Ba 0.0000 0.0000 0.1425 1
Ba2 Ba 0.0179 0.2500 0.6250 1
Ba3 Ba 0.2309 0.7500 0.1250 1
Cd1 Cd 0.0000 0.0000 0.5000 1
Ag1 Ag 0.1249 0.2500 0.1250 1
Sn1 Sn 0.0236 0.7300 0.8972 1
S1 S 0.0670 0.1663 0.9826 1
S2 S 0.0832 0.1395 0.4410 1
S3 S 0.1085 0.6839 0.4607 1
S4 S 0.1138 0.6352 0.9882 1
```

Most intense lines, 10° ≤ 2θ ≤ 90°, sorted by position:
two_theta	d/Å	I (rel.)	(hkl)
22.2	3.996	76	2 1 3
23.8	3.738	63	4 0 0
28.0	3.188	100	3 3 2
29.3	3.052	21	2 2 4
33.9	2.643	80	4 4 0
37.1	2.426	24	5 2 3
40.9	2.205	27	6 1 3
44.5	2.035	24	3 3 6
47.9	1.900	44	7 3 2
54.9	1.673	17	8 4 0

=====

For Ba2MgCuAg2F14, a DFT-relaxed cell (PBE, the Materials Project) gives the theoretical powder diffractogram in this record (copper Kα).
Neutral-atom scattering factors, no anomalous dispersion.

```
data_Ba2MgCuAg2F14
_cell_length_a 5.3724
_cell_length_b 7.6572
_cell_length_c 15.2823
_cell_angle_alpha 88.48
_cell_angle_beta 89.62
_cell_angle_gamma 69.54
_symmetry_space_group_name_H-M 'P -1'
_symmetry_Int_Tables_number 2
_symmetry_space_group_name_Hall '-P 1'
loop_
_atom_site_label
_atom_site_type_symbol
_atom_site_fract_x
_atom_site_fract_y
_atom_site_fract_z
_atom_site_occupancy
Ba1 Ba 0.0976 0.1296 0.1254 1
Ba2 Ba 0.2743 0.1301 0.6257 1
Mg1 Mg 0.4291 0.4978 0.2482 1
Cu1 Cu 0.5000 0.5000 0.0000 1
Cu2 Cu 0.5000 0.5000 0.5000 1
Ag1 Ag 0.0924 0.2669 0.3722 1
Ag2 Ag 0.1453 0.2657 0.8722 1
F1 F 0.0267 0.8455 0.2284 1
F2 F 0.1215 0.5280 0.3334 1
F3 F 0.1339 0.9893 0.4029 1
F4 F 0.1350 0.7837 0.0408 1
F5 F 0.1395 0.4717 0.1662 1
F6 F 0.1468 0.6513 0.5093 1
F7 F 0.2177 0.7107 0.7227 1
F8 F 0.2932 0.3499 0.9904 1
F9 F 0.3733 0.9885 0.9038 1
F10 F 0.3771 0.1581 0.2700 1
F11 F 0.3834 0.5839 0.8864 1
F12 F 0.4204 0.2167 0.4588 1
F13 F 0.4326 0.2917 0.7770 1
F14 F 0.4674 0.4144 0.6143 1
```

Most intense lines, 10° ≤ 2θ ≤ 90°, sorted by position:
two_theta	d/Å	I (rel.)	(hkl)
17.6	5.031	43	1 1 0
23.3	3.819	67	0 0 4
24.9	3.576	100	1 -1 0
24.9	3.569	81	1 2 0
27.4	3.260	58	1 2 2
27.7	3.215	47	0 2 -2
29.1	3.064	36	1 1 4
29.4	3.043	63	1 0 -4
39.8	2.265	31	0 3 -2
47.6	1.910	31	0 0 8

=====

For Ba2ZnCuAg2F14, a DFT-relaxed cell (PBE, the Materials Project) gives the theoretical powder diffractogram in this record (copper Kα).
Neutral-atom scattering factors, no anomalous dispersion.

```
data_Ba2ZnCuAg2F14
_cell_length_a 14.3977
_cell_length_b 5.4099
_cell_length_c 15.4577
_cell_angle_alpha 90.00
_cell_angle_beta 91.70
_cell_angle_gamma 90.00
_symmetry_space_group_name_H-M 'C 1 2/c 1'
_symmetry_Int_Tables_number 15
_symmetry_space_group_name_Hall '-C 2yc'
loop_
_atom_site_label
_atom_site_type_symbol
_atom_site_fract_x
_atom_site_fract_y
_atom_site_fract_z
_atom_site_occupancy
Ba1 Ba 0.1866 0.0868 0.1257 1
Zn1 Zn 0.0000 0.4250 0.7500 1
Cu1 Cu 0.0000 0.5000 0.0000 1
Ag1 Ag 0.1172 0.0279 0.3726 1
F1 F 0.0141 0.1236 0.6653 1
F2 F 0.0445 0.4243 0.1125 1
F3 F 0.0752 0.2172 0.4908 1
F4 F 0.1043 0.3307 0.2781 1
F5 F 0.1425 0.2764 0.9596 1
F6 F 0.1753 0.1961 0.7710 1
F7 F 0.2448 0.3817 0.5953 1
```

Most intense lines, 10° ≤ 2θ ≤ 90°, sorted by position:
two_theta	d/Å	I (rel.)	(hkl)
23.0	3.863	26	0 0 4
24.8	3.589	100	3 1 0
25.9	3.446	18	2 0 -4
27.2	3.283	22	3 1 -2
27.6	3.227	32	4 0 2
28.9	3.087	46	1 1 -4
29.2	3.056	36	1 1 4
33.7	2.661	17	3 1 -4
39.7	2.272	18	6 0 2
47.1	1.931	18	0 0 8